The following is a computed X-ray diffraction stick pattern of K2Ca. It was derived from a GGA-PBE-relaxed structure, using Cu Kα, 1.54184 Å.

Largest 10 diffraction maxima, in order of rising 2θ, 2θ = 10–90°:
2θ (°)  I (rel.)  h k l
23.9  34  2 0 0
24.3  30  0 6 0
26.7  100  1 3 1
34.4  23  2 6 0
43.8  23  3 3 1
44.2  18  1 9 1
48.5  8  2 0 2
48.7  7  0 6 2
55.0  10  2 6 2
57.0  8  3 9 1

Crystal structure
Cell: 7.440 21.987 4.343 Å, 90.00 90.00 90.00°
Space group Cmcm (No. 63)
Unique sites:
K 0.000 0.083 0.250
K 0.000 0.260 0.750
Ca 0.000 0.428 0.250



The following is a computed X-ray diffraction stick pattern of KCa. It was derived from a GGA-PBE-relaxed structure, using Cu Kα, 1.54184 Å.

Largest 10 diffraction maxima, in order of rising 2θ, 2θ = 10–90°:
2θ (°)  I (rel.)  h k l
24.9  100  0 1 2
26.5  93  1 1 0
29.6  63  1 0 2
30.2  33  0 2 0
40.3  12  0 0 4
42.8  42  1 2 2
48.9  20  1 1 4
50.5  12  0 3 2
51.4  24  1 3 0
70.9  12  3 1 0

Crystal structure
Cell: 4.089 5.921 8.949 Å, 90.00 90.11 90.00°
Space group P2_1/m (No. 11)
Unique sites:
K 0.246 0.250 0.138
Ca 0.251 0.250 0.594



The following is a computed X-ray diffraction stick pattern of K2Ca. It was derived from a GGA-PBE-relaxed structure, using Cu Kα, 1.54184 Å.

Largest 10 diffraction maxima, in order of rising 2θ, 2θ = 10–90°:
2θ (°)  I (rel.)  h k l
24.4  76  1 1 1
24.6  97  4 0 -2
25.3  85  4 0 1
25.8  82  0 0 3
27.2  100  3 1 0
27.5  94  1 1 -2
34.7  26  5 1 -1
35.1  28  3 1 -3
40.5  42  3 1 3
47.6  24  7 1 1

Crystal structure
Cell: 16.654 4.112 10.632 Å, 90.00 103.12 90.00°
Space group C2/m (No. 12)
Unique sites:
K 0.125 0.000 0.020
K 0.196 0.000 0.646
Ca 0.030 0.500 0.331